No. 1
Starting from a cell relaxed with PBE, the powder diffractogram of SmCu2Ni9 was calculated for a wavelength of 1.5418 Å.
No peak broadening, texture or thermal motion is included.

Cell lengths 8.0264, 8.0264, 4.7268 Å; angles 90.00, 90.00, 90.00 degrees
Space group P4/mbm (No. 127)
Inequivalent atoms, fractional coordinates:
Sm: 0.0000 0.0000 0.0000
Cu: 0.1142 0.3858 0.0000
Ni: 0.0000 0.5000 0.5000
Ni: 0.0651 0.2116 0.5000
Ni: 0.1785 0.6785 0.2402

Largest 12 diffraction maxima, low angle first, 10 to 90 degrees two-theta:
Position (°2θ)  Rel. int.
35.36  201
36.95  334
38.08  154
40.33  1000
44.49  421
45.01  358
45.98  645
46.66  473
50.88  176
70.33  183
72.09  183
87.18  153

=====

No. 2
Starting from a cell relaxed with PBE, the powder diffractogram of SmCu10Ni2 was calculated for a wavelength of 1.5418 Å.
No peak broadening, texture or thermal motion is included.

Cell lengths 4.8419, 11.9101, 11.9791 Å; angles 90.00, 90.00, 90.00 degrees
Space group Fmmm (No. 69)
Inequivalent atoms, fractional coordinates:
Sm: 0.0000 0.0000 0.0000
Cu: 0.0000 0.1131 0.3883
Cu: 0.0000 0.1792 0.1750
Cu: 0.2500 0.0000 0.2500
Ni: 0.2500 0.2500 0.0000

Largest 12 diffraction maxima, low angle first, 10 to 90 degrees two-theta:
Position (°2θ)  Rel. int.
30.01  233
36.93  379
37.14  152
42.81  898
43.03  1000
48.33  271
48.46  140
70.84  82
70.98  86
78.29  94
78.64  241
79.12  73